Starting from the PBE geometry in the Materials Project, the powder X-ray diffraction pattern of EuGa3B4O12 was computed for Cu Kα, 1.54184 Å.
Intensities are scaled so that the largest is 100.

Most intense lines, 10 to 80 degrees two-theta, in order of rising 2θ:
| 2θ (°) | I/Imax |
| --- | --- |
| 18.54 | 19.8 |
| 24.42 | 87.8 |
| 30.84 | 23.2 |
| 31.82 | 100.0 |
| 37.59 | 25.7 |
| 46.05 | 22.4 |
| 52.41 | 28.9 |
| 52.66 | 20.1 |

Atomic structure:
```
EuGa3B4O12
1.0
4.786 2.763 2.553
-4.786 2.763 2.553
0.000 -5.526 2.553
Eu Ga B O
1 3 4 12
Direct
0.000 0.000 0.000 Eu
0.000 0.550 0.450 Ga
0.450 0.000 0.550 Ga
0.550 0.450 0.000 Ga
0.052 0.500 0.948 B
0.500 0.500 0.500 B
0.500 0.948 0.052 B
0.948 0.052 0.500 B
0.022 0.622 0.785 O
0.093 0.907 0.500 O
0.215 0.378 0.978 O
0.355 0.645 0.500 O
0.378 0.978 0.215 O
0.500 0.093 0.907 O
0.500 0.355 0.645 O
0.622 0.785 0.022 O
0.645 0.500 0.355 O
0.785 0.022 0.622 O
0.907 0.500 0.093 O
0.978 0.215 0.378 O
```